For Zr3NbTe8, the PBE geometry in Alexandria gives the computed X-ray powder pattern in this record (Cu Kα X-rays).
Neutral-atom scattering factors, no anomalous dispersion.

Top 10 peaks for 2θ from 15° to 90°, sorted by position:
d (Å), two_theta, I/Imax
3.690, 24.1, 19
3.323, 26.8, 16
3.225, 27.7, 14
3.212, 27.8, 27
2.879, 31.1, 100
2.860, 31.3, 49
2.147, 42.1, 22
2.131, 42.4, 42
1.940, 46.8, 47
1.606, 57.4, 17

Structure:
```
data_Zr3NbTe8
_symmetry_space_group_name_H-M 'P 1'
_symmetry_Int_Tables_number 1
_symmetry_space_group_name_Hall 'P 1'
_cell_length_a 7.7622
_cell_length_b 7.7622
_cell_length_c 8.6726
_cell_angle_alpha 117.05
_cell_angle_beta 117.05
_cell_angle_gamma 60.00
loop_
_atom_site_label
_atom_site_type_symbol
_atom_site_fract_x
_atom_site_fract_y
_atom_site_fract_z
_atom_site_occupancy
Zr1 Zr 0.0000 0.0000 0.0000 1
Zr2 Zr 0.0000 0.5000 0.0000 1
Zr3 Zr 0.5000 0.0000 0.0000 1
Nb1 Nb 0.5000 0.5000 0.0000 1
Te1 Te 0.2518 0.2518 0.2516 1
Te2 Te 0.2535 0.2535 0.7534 1
Te3 Te 0.2533 0.7430 0.7533 1
Te4 Te 0.2570 0.7467 0.2467 1
Te5 Te 0.7430 0.2533 0.7533 1
Te6 Te 0.7467 0.2570 0.2467 1
Te7 Te 0.7465 0.7465 0.2466 1
Te8 Te 0.7482 0.7482 0.7484 1
```

---

For ZrNb2Te5, the PBE geometry in Alexandria gives the computed X-ray powder pattern in this record (Cu Kα X-rays).
Neutral-atom scattering factors, no anomalous dispersion.

Top 10 peaks for 2θ from 15° to 90°, sorted by position:
d (Å), two_theta, I/Imax
3.441, 25.9, 25
3.377, 26.4, 52
2.828, 31.6, 100
2.587, 34.7, 59
2.533, 35.4, 38
2.438, 36.9, 59
2.238, 40.3, 25
2.202, 41.0, 34
1.810, 50.4, 28
1.775, 51.5, 31

Structure:
```
data_ZrNb2Te5
_symmetry_space_group_name_H-M 'P 1'
_symmetry_Int_Tables_number 1
_symmetry_space_group_name_Hall 'P 1'
_cell_length_a 10.1416
_cell_length_b 7.7625
_cell_length_c 7.4819
_cell_angle_alpha 83.38
_cell_angle_beta 49.49
_cell_angle_gamma 47.12
loop_
_atom_site_label
_atom_site_type_symbol
_atom_site_fract_x
_atom_site_fract_y
_atom_site_fract_z
_atom_site_occupancy
Zr1 Zr 0.0000 0.0000 0.0000 1
Nb1 Nb 0.3077 0.3077 0.6923 1
Nb2 Nb 0.6923 0.6923 0.3077 1
Te1 Te 0.0332 0.2924 0.7076 1
Te2 Te 0.2924 0.0332 0.9668 1
Te3 Te 0.5000 0.5000 0.5000 1
Te4 Te 0.7076 0.9668 0.0332 1
Te5 Te 0.9668 0.7076 0.2924 1
```

---

For ThUNb, the PBE geometry in Alexandria gives the computed X-ray powder pattern in this record (Cu Kα X-rays).
Neutral-atom scattering factors, no anomalous dispersion.

Top 10 peaks for 2θ from 15° to 90°, sorted by position:
d (Å), two_theta, I/Imax
3.151, 28.3, 38
2.631, 34.1, 10
2.512, 35.7, 100
2.387, 37.7, 48
1.768, 51.7, 13
1.688, 54.3, 17
1.488, 62.4, 9
1.477, 62.9, 14
1.401, 66.8, 34
1.256, 75.7, 8

Structure:
```
data_ThUNb
_symmetry_space_group_name_H-M 'P 1'
_symmetry_Int_Tables_number 1
_symmetry_space_group_name_Hall 'P 1'
_cell_length_a 3.3763
_cell_length_b 3.3763
_cell_length_c 26.3124
_cell_angle_alpha 90.00
_cell_angle_beta 90.00
_cell_angle_gamma 90.00
loop_
_atom_site_label
_atom_site_type_symbol
_atom_site_fract_x
_atom_site_fract_y
_atom_site_fract_z
_atom_site_occupancy
Th1 Th 0.0000 0.0000 0.0659 1
Th2 Th 0.0000 0.0000 0.9341 1
Th3 Th 0.5000 0.5000 0.4341 1
Th4 Th 0.5000 0.5000 0.5659 1
U1 U 0.0000 0.0000 0.3474 1
U2 U 0.0000 0.0000 0.6526 1
U3 U 0.5000 0.5000 0.1526 1
U4 U 0.5000 0.5000 0.8474 1
Nb1 Nb 0.0000 0.0000 0.2188 1
Nb2 Nb 0.0000 0.0000 0.7812 1
Nb3 Nb 0.5000 0.5000 0.2812 1
Nb4 Nb 0.5000 0.5000 0.7188 1
```

---

For Ti2Nb3, the PBE geometry in Alexandria gives the computed X-ray powder pattern in this record (Cu Kα X-rays).
Neutral-atom scattering factors, no anomalous dispersion.

Top 10 peaks for 2θ from 15° to 90°, sorted by position:
d (Å), two_theta, I/Imax
4.060, 21.9, 14
3.281, 27.2, 12
2.459, 36.5, 52
2.425, 37.1, 100
2.250, 40.1, 80
1.993, 45.5, 27
1.985, 45.7, 27
1.549, 59.7, 12
1.439, 64.8, 18
1.376, 68.2, 16

Structure:
```
data_Ti2Nb3
_symmetry_space_group_name_H-M 'P 1'
_symmetry_Int_Tables_number 1
_symmetry_space_group_name_Hall 'P 1'
_cell_length_a 5.5301
_cell_length_b 5.5301
_cell_length_c 8.6968
_cell_angle_alpha 119.96
_cell_angle_beta 119.96
_cell_angle_gamma 54.44
loop_
_atom_site_label
_atom_site_type_symbol
_atom_site_fract_x
_atom_site_fract_y
_atom_site_fract_z
_atom_site_occupancy
Ti1 Ti 0.0742 0.3266 0.1505 1
Ti2 Ti 0.3266 0.0742 0.6505 1
Ti3 Ti 0.6734 0.9258 0.3495 1
Ti4 Ti 0.9258 0.6734 0.8495 1
Nb1 Nb 0.1229 0.8771 0.2500 1
Nb2 Nb 0.2733 0.5220 0.5453 1
Nb3 Nb 0.4780 0.7267 0.9547 1
Nb4 Nb 0.5220 0.2733 0.0453 1
Nb5 Nb 0.7267 0.4780 0.4547 1
Nb6 Nb 0.8771 0.1229 0.7500 1
```

---

For TiNb5, the PBE geometry in Alexandria gives the computed X-ray powder pattern in this record (Cu Kα X-rays).
Neutral-atom scattering factors, no anomalous dispersion.

Top 10 peaks for 2θ from 15° to 90°, sorted by position:
d (Å), two_theta, I/Imax
4.436, 20.0, 2
2.337, 38.5, 100
2.327, 38.7, 20
1.655, 55.5, 7
1.650, 55.7, 13
1.350, 69.6, 20
1.348, 69.7, 7
1.345, 69.9, 13
1.170, 82.5, 2
1.168, 82.6, 8

Structure:
```
data_TiNb5
_symmetry_space_group_name_H-M 'P 1'
_symmetry_Int_Tables_number 1
_symmetry_space_group_name_Hall 'P 1'
_cell_length_a 4.6789
_cell_length_b 13.9604
_cell_length_c 3.3093
_cell_angle_alpha 90.00
_cell_angle_beta 90.00
_cell_angle_gamma 90.00
loop_
_atom_site_label
_atom_site_type_symbol
_atom_site_fract_x
_atom_site_fract_y
_atom_site_fract_z
_atom_site_occupancy
Ti1 Ti 0.0000 0.0000 0.0000 1
Ti2 Ti 0.5000 0.5000 0.0000 1
Nb1 Nb 0.0000 0.1692 0.5000 1
Nb2 Nb 0.0000 0.3368 0.0000 1
Nb3 Nb 0.0000 0.5000 0.5000 1
Nb4 Nb 0.0000 0.6632 0.0000 1
Nb5 Nb 0.0000 0.8308 0.5000 1
Nb6 Nb 0.5000 0.0000 0.5000 1
Nb7 Nb 0.5000 0.1632 0.0000 1
Nb8 Nb 0.5000 0.3308 0.5000 1
Nb9 Nb 0.5000 0.6692 0.5000 1
Nb10 Nb 0.5000 0.8368 0.0000 1
```

---

For Ti3Nb7, the PBE geometry in Alexandria gives the computed X-ray powder pattern in this record (Cu Kα X-rays).
Neutral-atom scattering factors, no anomalous dispersion.

Top 10 peaks for 2θ from 15° to 90°, sorted by position:
d (Å), two_theta, I/Imax
2.900, 30.8, 28
2.554, 35.1, 90
2.542, 35.3, 22
2.310, 39.0, 72
2.215, 40.7, 46
2.205, 40.9, 100
2.128, 42.5, 21
1.563, 59.1, 23
1.476, 63.0, 19
1.295, 73.1, 28

Structure:
```
data_Ti3Nb7
_symmetry_space_group_name_H-M 'P 1'
_symmetry_Int_Tables_number 1
_symmetry_space_group_name_Hall 'P 1'
_cell_length_a 8.8594
_cell_length_b 8.8594
_cell_length_c 5.3882
_cell_angle_alpha 90.00
_cell_angle_beta 90.00
_cell_angle_gamma 120.00
loop_
_atom_site_label
_atom_site_type_symbol
_atom_site_fract_x
_atom_site_fract_y
_atom_site_fract_z
_atom_site_occupancy
Ti1 Ti 0.2155 0.4309 0.2500 1
Ti2 Ti 0.2155 0.7845 0.2500 1
Ti3 Ti 0.4309 0.2155 0.7500 1
Ti4 Ti 0.5691 0.7845 0.2500 1
Ti5 Ti 0.7845 0.2155 0.7500 1
Ti6 Ti 0.7845 0.5691 0.7500 1
Nb1 Nb 0.0000 0.5000 0.0000 1
Nb2 Nb 0.0000 0.5000 0.5000 1
Nb3 Nb 0.1169 0.2337 0.7500 1
Nb4 Nb 0.1169 0.8831 0.7500 1
Nb5 Nb 0.2337 0.1169 0.2500 1
Nb6 Nb 0.3333 0.6667 0.7500 1
Nb7 Nb 0.5000 0.0000 0.0000 1
Nb8 Nb 0.5000 0.0000 0.5000 1
Nb9 Nb 0.5000 0.5000 0.0000 1
Nb10 Nb 0.5000 0.5000 0.5000 1
Nb11 Nb 0.6667 0.3333 0.2500 1
Nb12 Nb 0.7663 0.8831 0.7500 1
Nb13 Nb 0.8831 0.1169 0.2500 1
Nb14 Nb 0.8831 0.7663 0.2500 1
```